H7PdPt4: simulated powder diffractogram (Cu Kα (λ = 1.5418 Å)), based on a crystal structure in Alexandria, relaxed with PBE.
Kinematic intensities with the Lorentz-polarization factor, no thermal factor.

The 10 most intense peaks (2θ = 10–80°), low angle first:
hkl	2θ (°)	I (rel.)
1 1 1	23.24	21.9
3 1 1	29.68	24.3
2 2 0	33.56	31.9
0 2 1	35.02	51.9
2 0 2	35.20	61.2
5 1 0	36.10	100.0
1 1 2	36.82	25.5
5 1 1	39.77	41.5
3 1 2	41.38	58.0
5 3 2	68.47	38.6

Structure:
```
data_H7PdPt4
_chemical_formula_sum 'H28 Pd4 Pt16'
_cell_length_a 13.776
_cell_length_b 5.795
_cell_length_c 5.488
_cell_angle_alpha 90.00
_cell_angle_beta 90.00
_cell_angle_gamma 90.00
_space_group_name_H-M_alt 'C m c m'
_space_group_IT_number 63
_space_group_name_Hall '-C 2c 2'
loop_
_atom_site_label
_atom_site_type_symbol
_atom_site_fract_x
_atom_site_fract_y
_atom_site_fract_z
H1 H 0.000 0.048 0.250
H2 H 0.106 0.306 0.021
H3 H 0.212 0.043 0.250
Pd1 Pd 0.000 0.353 0.250
Pt1 Pt 0.103 0.130 0.750
Pt2 Pt 0.204 0.500 0.000
```

Tl3In5: simulated powder diffractogram (Cu Kα (λ = 1.5418 Å)), based on a crystal structure in Alexandria, relaxed with PBE.
Kinematic intensities with the Lorentz-polarization factor, no thermal factor.

The 10 most intense peaks (2θ = 10–80°), low angle first:
hkl	2θ (°)	I (rel.)
0 4 2	28.40	54.3
2 0 -1	29.93	21.8
0 2 3	31.18	22.3
1 3 2	32.11	61.0
2 2 0	32.78	57.4
1 5 1	32.97	22.7
1 3 -3	33.23	30.0
1 5 -2	33.64	100.0
1 7 0	39.57	28.0
0 6 5	59.98	27.1

Structure:
```
data_Tl3In5
_chemical_formula_sum 'Tl12 In20'
_cell_length_a 5.978
_cell_length_b 17.353
_cell_length_c 9.467
_cell_angle_alpha 90.00
_cell_angle_beta 105.62
_cell_angle_gamma 90.00
_space_group_name_H-M_alt 'C 1 2 1'
_space_group_IT_number 5
_space_group_name_Hall 'C 2y'
loop_
_atom_site_label
_atom_site_type_symbol
_atom_site_fract_x
_atom_site_fract_y
_atom_site_fract_z
Tl1 Tl 0.000 0.000 0.000
Tl2 Tl 0.000 0.030 0.500
Tl3 Tl 0.000 0.591 0.500
Tl4 Tl 0.000 0.622 0.000
Tl5 Tl 0.209 0.311 0.388
In1 In 0.098 0.468 0.193
In2 In 0.099 0.154 0.193
In3 In 0.170 0.905 0.298
In4 In 0.171 0.716 0.298
In5 In 0.245 0.811 0.986
```

PmNd8Sc3: simulated powder diffractogram (Cu Kα (λ = 1.5418 Å)), based on a crystal structure in Alexandria, relaxed with PBE.
Kinematic intensities with the Lorentz-polarization factor, no thermal factor.

The 10 most intense peaks (2θ = 10–80°), low angle first:
hkl	2θ (°)	I (rel.)
1 1 -2	28.55	47.5
2 -2 0	31.04	49.3
1 -1 3	32.53	100.0
-1 1 3	32.60	66.4
2 0 -2	32.71	31.5
1 -3 2	42.59	15.8
2 2 -1	50.61	25.1
3 -3 3	56.10	20.1
-1 3 4	60.44	21.6
1 3 -4	61.45	15.5

Structure:
```
data_PmNd8Sc3
_chemical_formula_sum 'Pm1 Nd8 Sc3'
_cell_length_a 6.781
_cell_length_b 6.815
_cell_length_c 9.554
_cell_angle_alpha 95.82
_cell_angle_beta 95.51
_cell_angle_gamma 115.89
_space_group_name_H-M_alt 'P 1'
_space_group_IT_number 1
_space_group_name_Hall 'P 1'
loop_
_atom_site_label
_atom_site_type_symbol
_atom_site_fract_x
_atom_site_fract_y
_atom_site_fract_z
Pm1 Pm 0.000 0.000 0.000
Nd1 Nd 0.051 0.521 0.113
Nd2 Nd 0.184 0.157 0.662
Nd3 Nd 0.200 0.687 0.776
Nd4 Nd 0.522 0.490 0.999
Nd5 Nd 0.524 0.021 0.112
Nd6 Nd 0.666 0.663 0.659
Nd7 Nd 0.844 0.826 0.331
Nd8 Nd 0.871 0.353 0.445
Sc1 Sc 0.346 0.330 0.336
Sc2 Sc 0.372 0.856 0.445
Sc3 Sc 0.701 0.182 0.769
```

Np3Ge4Pt4: simulated powder diffractogram (Cu Kα (λ = 1.5418 Å)), based on a crystal structure in Alexandria, relaxed with PBE.
Kinematic intensities with the Lorentz-polarization factor, no thermal factor.

The 10 most intense peaks (2θ = 10–80°), low angle first:
hkl	2θ (°)	I (rel.)
0 0 8	27.43	10.8
1 0 7	33.34	33.9
1 1 4	34.05	100.0
0 2 0	42.24	23.5
0 1 11	43.73	25.6
2 0 0	46.68	17.7
1 2 7	54.84	16.9
2 2 0	64.76	13.7
2 1 11	65.88	15.4
1 3 4	71.98	11.9

Structure:
```
data_Np3Ge4Pt4
_chemical_formula_sum 'Np6 Ge8 Pt8'
_cell_length_a 3.892
_cell_length_b 4.279
_cell_length_c 26.017
_cell_angle_alpha 90.00
_cell_angle_beta 90.00
_cell_angle_gamma 90.00
_space_group_name_H-M_alt 'I m m m'
_space_group_IT_number 71
_space_group_name_Hall '-I 2 2'
loop_
_atom_site_label
_atom_site_type_symbol
_atom_site_fract_x
_atom_site_fract_y
_atom_site_fract_z
Np1 Np 0.000 0.000 0.000
Np2 Np 0.000 0.500 0.143
Ge1 Ge 0.000 0.000 0.453
Ge2 Ge 0.000 0.500 0.309
Pt1 Pt 0.000 0.000 0.253
Pt2 Pt 0.000 0.500 0.404
```

Dy3Er: simulated powder diffractogram (Cu Kα (λ = 1.5418 Å)), based on a crystal structure in Alexandria, relaxed with PBE.
Kinematic intensities with the Lorentz-polarization factor, no thermal factor.

The 6 most intense peaks (2θ = 10–80°), low angle first:
hkl	2θ (°)	I (rel.)
1 1 2	31.08	100.0
2 0 0	36.05	50.6
2 2 0	51.90	36.0
3 1 2	61.74	42.7
2 2 4	64.81	12.3
4 0 0	76.46	5.7

Structure:
```
data_Dy3Er
_chemical_formula_sum 'Dy6 Er2'
_cell_length_a 4.982
_cell_length_b 4.982
_cell_length_c 9.974
_cell_angle_alpha 90.00
_cell_angle_beta 90.00
_cell_angle_gamma 90.00
_space_group_name_H-M_alt 'I 4/m m m'
_space_group_IT_number 139
_space_group_name_Hall '-I 4 2'
loop_
_atom_site_label
_atom_site_type_symbol
_atom_site_fract_x
_atom_site_fract_y
_atom_site_fract_z
Dy1 Dy 0.000 0.000 0.000
Dy2 Dy 0.000 0.500 0.250
Er1 Er 0.000 0.000 0.500
```

Sr3Ho2PaBi6: simulated powder diffractogram (Cu Kα (λ = 1.5418 Å)), based on a crystal structure in Alexandria, relaxed with PBE.
Kinematic intensities with the Lorentz-polarization factor, no thermal factor.

The 10 most intense peaks (2θ = 10–80°), low angle first:
hkl	2θ (°)	I (rel.)
0 0 1	11.39	13.7
1 3 1	27.11	100.0
1 3 2	35.13	7.2
2 0 2	38.28	37.3
0 6 0	39.16	39.5
4 0 0	48.28	21.2
2 6 2	55.91	12.6
3 3 3	62.60	15.4
4 6 0	63.84	18.6
5 3 1	70.38	12.9

Structure:
```
data_Sr3Ho2PaBi6
_chemical_formula_sum 'Sr6 Ho4 Pa2 Bi12'
_cell_length_a 7.968
_cell_length_b 13.805
_cell_length_c 8.209
_cell_angle_alpha 90.00
_cell_angle_beta 108.88
_cell_angle_gamma 90.00
_space_group_name_H-M_alt 'C 1 2/m 1'
_space_group_IT_number 12
_space_group_name_Hall '-C 2y'
loop_
_atom_site_label
_atom_site_type_symbol
_atom_site_fract_x
_atom_site_fract_y
_atom_site_fract_z
Sr1 Sr 0.000 0.000 0.000
Sr2 Sr 0.000 0.331 0.000
Ho1 Ho 0.000 0.166 0.500
Pa1 Pa 0.000 0.500 0.500
Bi1 Bi 0.239 0.335 0.723
Bi2 Bi 0.246 0.000 0.724
```